(1)
Theoretical powder XRD pattern
Compound: Er2Tm3Lu3
Radiation: Cu Kα (λ = 1.5418 Å)
Structure: a cell relaxed with PBE

Cell and atoms:
Cell lengths 7.0650, 7.0650, 5.4942 Å; angles 90.00, 90.00, 120.00 degrees
Positions (direct):
Er: 0.0000 0.0000 0.0000
Er: 0.3333 0.6667 0.5000
Tm: 0.3339 0.1669 0.5000
Tm: 0.8331 0.1669 0.5000
Tm: 0.8331 0.6661 0.5000
Lu: 0.5004 0.0008 0.0000
Lu: 0.5004 0.4996 0.0000
Lu: 0.9992 0.4996 0.0000

Largest 12 diffraction maxima, by angle, 2θ = 10–80°:
2θ (°)	I (rel.)
29.19	24
32.60	24
33.53	100
44.32	15
51.76	20
58.76	20
60.53	3
62.52	22
63.09	16
68.29	3
70.46	4
75.94	3

(2)
Theoretical powder XRD pattern
Compound: ErTm6Lu
Radiation: Cu Kα (λ = 1.5418 Å)
Structure: a cell relaxed with PBE

Cell and atoms:
Cell lengths 7.0766, 7.0766, 5.5088 Å; angles 90.00, 90.00, 120.00 degrees
Positions (direct):
Er: 0.0000 0.0000 0.0000
Tm: 0.3340 0.1670 0.5000
Tm: 0.5004 0.0007 0.0000
Tm: 0.5004 0.4996 0.0000
Tm: 0.8330 0.1670 0.5000
Tm: 0.8330 0.6660 0.5000
Tm: 0.9993 0.4996 0.0000
Lu: 0.3333 0.6667 0.5000

Largest 12 diffraction maxima, by angle, 2θ = 10–80°:
2θ (°)	I (rel.)
29.14	24
32.51	24
33.46	100
44.21	16
51.67	20
58.61	20
60.42	3
62.38	22
62.97	16
68.08	3
70.31	4
75.72	3

(3)
Theoretical powder XRD pattern
Compound: Er2Tm5Lu
Radiation: Cu Kα (λ = 1.5418 Å)
Structure: a cell relaxed with PBE

Cell and atoms:
Cell lengths 5.5072, 7.0870, 12.2747 Å; angles 90.00, 90.00, 90.00 degrees
Positions (direct):
Er: 0.0000 0.0000 0.0000
Er: 0.0000 0.5000 0.5000
Er: 0.5000 0.0000 0.3335
Er: 0.5000 0.5000 0.8335
Tm: 0.0000 0.2505 0.2501
Tm: 0.0000 0.2495 0.7501
Tm: 0.0000 0.7495 0.2501
Tm: 0.0000 0.7505 0.7501
Tm: 0.5000 0.0000 0.8333
Tm: 0.5000 0.2503 0.0835
Tm: 0.5000 0.2497 0.5835
Tm: 0.5000 0.5000 0.3333
Tm: 0.5000 0.7497 0.0835
Tm: 0.5000 0.7503 0.5835
Lu: 0.0000 0.0000 0.5004
Lu: 0.0000 0.5000 0.0004

Largest 12 diffraction maxima, by angle, 2θ = 10–80°:
2θ (°)	I (rel.)
29.10	24
32.52	24
33.43	100
44.19	15
51.59	20
58.60	20
60.32	3
62.32	22
62.88	16
68.10	3
70.22	4
75.72	3

(4)
Theoretical powder XRD pattern
Compound: Er3Mg4
Radiation: Cu Kα (λ = 1.5418 Å)
Structure: a cell relaxed with PBE

Cell and atoms:
Cell lengths 8.9978, 8.9978, 5.2987 Å; angles 90.00, 90.00, 120.00 degrees
Positions (direct):
Er: 0.0988 0.6305 0.2500
Er: 0.3695 0.4683 0.2500
Er: 0.4683 0.0988 0.7500
Er: 0.5317 0.9012 0.2500
Er: 0.6305 0.5317 0.7500
Er: 0.9012 0.3695 0.7500
Mg: 0.0477 0.8132 0.7500
Mg: 0.1868 0.2345 0.7500
Mg: 0.2345 0.0477 0.2500
Mg: 0.3333 0.6667 0.7500
Mg: 0.6667 0.3333 0.2500
Mg: 0.7655 0.9523 0.7500
Mg: 0.8132 0.7655 0.2500
Mg: 0.9523 0.1868 0.2500

Largest 12 diffraction maxima, by angle, 2θ = 10–80°:
2θ (°)	I (rel.)
11.36	35
20.27	35
22.82	14
25.98	33
30.35	40
33.83	24
34.85	100
46.08	26
53.92	18
61.19	20
65.19	21
65.82	15

(5)
Theoretical powder XRD pattern
Compound: ErMg
Radiation: Cu Kα (λ = 1.5418 Å)
Structure: a cell relaxed with PBE

Cell and atoms:
Cell lengths 3.5653, 5.3653, 11.2722 Å; angles 90.00, 90.00, 90.00 degrees
Positions (direct):
Er: 0.2500 0.2500 0.0400
Er: 0.2500 0.7500 0.2305
Er: 0.7500 0.2500 0.7695
Er: 0.7500 0.7500 0.9600
Mg: 0.2500 0.2500 0.5190
Mg: 0.2500 0.7500 0.7061
Mg: 0.7500 0.2500 0.2939
Mg: 0.7500 0.7500 0.4810

Largest 12 diffraction maxima, by angle, 2θ = 10–80°:
2θ (°)	I (rel.)
18.31	19
26.22	25
29.01	36
31.15	15
31.75	18
33.40	31
34.13	100
36.00	22
42.95	14
59.51	12
59.97	15
60.17	20

(6)
Theoretical powder XRD pattern
Compound: ErMg2
Radiation: Cu Kα (λ = 1.5418 Å)
Structure: a cell relaxed with PBE

Cell and atoms:
Cell lengths 3.3139, 17.0843, 5.4243 Å; angles 90.00, 90.00, 90.00 degrees
Positions (direct):
Er: 0.0000 0.1077 0.2500
Er: 0.0000 0.8923 0.7500
Er: 0.5000 0.3923 0.7500
Er: 0.5000 0.6077 0.2500
Mg: 0.0000 0.2207 0.7500
Mg: 0.0000 0.4415 0.2500
Mg: 0.0000 0.5585 0.7500
Mg: 0.0000 0.7793 0.2500
Mg: 0.5000 0.0585 0.7500
Mg: 0.5000 0.2793 0.2500
Mg: 0.5000 0.7207 0.7500
Mg: 0.5000 0.9415 0.2500

Largest 12 diffraction maxima, by angle, 2θ = 10–80°:
2θ (°)	I (rel.)
19.38	100
20.80	39
27.42	29
32.08	25
33.03	35
35.44	92
35.61	38
37.82	18
43.44	17
49.32	20
60.56	19
66.41	19

(7)
Theoretical powder XRD pattern
Compound: Er5Mg
Radiation: Cu Kα (λ = 1.5418 Å)
Structure: a cell relaxed with PBE

Cell and atoms:
Cell lengths 6.3905, 6.3905, 5.6298 Å; angles 90.00, 90.00, 120.00 degrees
Positions (direct):
Er: 0.0000 0.5000 0.0000
Er: 0.3333 0.6667 0.5000
Er: 0.5000 0.0000 0.0000
Er: 0.5000 0.5000 0.0000
Er: 0.6667 0.3333 0.5000
Mg: 0.0000 0.0000 0.5000

Largest 12 diffraction maxima, by angle, 2θ = 10–80°:
2θ (°)	I (rel.)
16.01	84
31.79	42
32.21	92
32.35	21
35.79	24
36.17	100
45.99	16
52.18	24
56.90	18
57.70	23
59.52	24
67.40	29

(8)
Theoretical powder XRD pattern
Compound: Er3Mg4
Radiation: Cu Kα (λ = 1.5418 Å)
Structure: a cell relaxed with PBE

Cell and atoms:
Cell lengths 8.9316, 8.9316, 5.3790 Å; angles 90.00, 90.00, 120.00 degrees
Positions (direct):
Er: 0.0635 0.2505 0.2500
Er: 0.1869 0.9365 0.2500
Er: 0.2505 0.1869 0.7500
Er: 0.7495 0.8131 0.2500
Er: 0.8131 0.0635 0.7500
Er: 0.9365 0.7495 0.7500
Mg: 0.1001 0.4850 0.7500
Mg: 0.3333 0.6667 0.2500
Mg: 0.3850 0.8999 0.7500
Mg: 0.4850 0.3850 0.2500
Mg: 0.5150 0.6150 0.7500
Mg: 0.6150 0.1001 0.2500
Mg: 0.6667 0.3333 0.7500
Mg: 0.8999 0.5150 0.2500

Largest 12 diffraction maxima, by angle, 2θ = 10–80°:
2θ (°)	I (rel.)
11.44	80
25.93	24
28.42	28
30.58	26
33.31	25
34.93	100
38.73	14
45.84	17
54.37	22
60.58	20
65.26	21
66.26	14

(9)
Theoretical powder XRD pattern
Compound: ErMg2
Radiation: Cu Kα (λ = 1.5418 Å)
Structure: a cell relaxed with PBE

Cell and atoms:
Cell lengths 5.3294, 10.4004, 5.5985 Å; angles 90.00, 90.00, 90.00 degrees
Positions (direct):
Er: 0.2500 0.0871 0.0893
Er: 0.2500 0.4129 0.0893
Er: 0.7500 0.5871 0.9107
Er: 0.7500 0.9129 0.9107
Mg: 0.2500 0.2500 0.5984
Mg: 0.2500 0.5924 0.5693
Mg: 0.2500 0.7500 0.0674
Mg: 0.2500 0.9076 0.5693
Mg: 0.7500 0.0924 0.4307
Mg: 0.7500 0.2500 0.9326
Mg: 0.7500 0.4076 0.4307
Mg: 0.7500 0.7500 0.4016

Largest 12 diffraction maxima, by angle, 2θ = 10–80°:
2θ (°)	I (rel.)
15.83	67
18.71	35
23.04	23
24.60	28
30.32	26
30.77	39
33.63	38
34.78	100
36.25	47
37.37	18
60.89	20
66.89	21

(10)
Theoretical powder XRD pattern
Compound: Er2Mg3Os
Radiation: Cu Kα (λ = 1.5418 Å)
Structure: a cell relaxed with PBE

Cell and atoms:
Cell lengths 5.6011, 5.6011, 9.5400 Å; angles 90.00, 90.00, 120.00 degrees
Positions (direct):
Er: 0.3333 0.6667 0.0519
Er: 0.3333 0.6667 0.4481
Er: 0.6667 0.3333 0.5519
Er: 0.6667 0.3333 0.9481
Mg: 0.1626 0.3253 0.7500
Mg: 0.1626 0.8374 0.7500
Mg: 0.3253 0.1626 0.2500
Mg: 0.6747 0.8374 0.7500
Mg: 0.8374 0.1626 0.2500
Mg: 0.8374 0.6747 0.2500
Os: 0.0000 0.0000 0.0000
Os: 0.0000 0.0000 0.5000

Largest 12 diffraction maxima, by angle, 2θ = 10–80°:
2θ (°)	I (rel.)
18.60	57
31.96	80
33.70	39
37.23	100
38.29	10
50.25	12
51.47	12
56.95	16
58.07	17
60.45	25
61.87	12
66.81	14

(11)
Theoretical powder XRD pattern
Compound: ErMgZnP2
Radiation: Cu Kα (λ = 1.5418 Å)
Structure: a cell relaxed with PBE

Cell and atoms:
Cell lengths 4.0644, 4.0644, 6.7410 Å; angles 90.00, 90.00, 120.00 degrees
Positions (direct):
Er: 0.0000 0.0000 0.0000
Mg: 0.3333 0.6667 0.3701
Zn: 0.6667 0.3333 0.6529
P: 0.3333 0.6667 0.7462
P: 0.6667 0.3333 0.2383

Largest 12 diffraction maxima, by angle, 2θ = 10–80°:
2θ (°)	I (rel.)
13.13	34
25.30	15
28.61	100
36.92	68
40.13	11
44.59	40
48.04	14
53.84	17
59.23	17
61.53	18
72.41	14
77.07	16

(12)
Theoretical powder XRD pattern
Compound: PrErMg2Sn2
Radiation: Cu Kα (λ = 1.5418 Å)
Structure: a cell relaxed with PBE

Cell and atoms:
Cell lengths 4.4565, 4.4565, 16.0604 Å; angles 90.00, 90.00, 90.00 degrees
Positions (direct):
Pr: 0.0000 0.0000 0.0000
Pr: 0.5000 0.5000 0.5000
Er: 0.0000 0.0000 0.3325
Er: 0.5000 0.5000 0.8325
Mg: 0.0000 0.5000 0.1684
Mg: 0.0000 0.5000 0.6684
Mg: 0.5000 0.0000 0.1684
Mg: 0.5000 0.0000 0.6684
Sn: 0.0000 0.0000 0.5325
Sn: 0.0000 0.0000 0.8012
Sn: 0.5000 0.5000 0.0325
Sn: 0.5000 0.5000 0.3012

Largest 12 diffraction maxima, by angle, 2θ = 10–80°:
2θ (°)	I (rel.)
11.02	28
22.14	43
28.32	100
30.47	36
33.48	26
34.42	34
36.24	84
40.48	57
44.41	29
46.62	25
53.51	27
70.87	41

(13)
Theoretical powder XRD pattern
Compound: PrEr2Mg4Tl2
Radiation: Cu Kα (λ = 1.5418 Å)
Structure: a cell relaxed with PBE

Cell and atoms:
Cell lengths 4.7018, 7.6610, 7.6610 Å; angles 121.24, 90.00, 90.00 degrees
Positions (direct):
Pr: 0.0000 0.0000 0.0000
Er: 0.0000 0.4282 0.8630
Er: 0.0000 0.8630 0.4282
Mg: 0.0000 0.4416 0.4416
Mg: 0.5000 0.1911 0.4317
Mg: 0.5000 0.4317 0.1911
Mg: 0.5000 0.6750 0.6750
Tl: 0.5000 0.0986 0.7570
Tl: 0.5000 0.7570 0.0986

Largest 12 diffraction maxima, by angle, 2θ = 10–80°:
2θ (°)	I (rel.)
13.26	49
13.52	57
23.22	26
30.10	100
30.45	57
32.91	38
33.34	88
38.29	36
40.68	17
41.36	22
53.29	19
64.20	18

(14)
Theoretical powder XRD pattern
Compound: Er3Mg3TlPt2
Radiation: Cu Kα (λ = 1.5418 Å)
Structure: a cell relaxed with PBE

Cell and atoms:
Cell lengths 7.4086, 7.4086, 4.2157 Å; angles 90.00, 90.00, 120.00 degrees
Positions (direct):
Er: 0.0000 0.5754 0.0000
Er: 0.4246 0.4246 0.0000
Er: 0.5754 0.0000 0.0000
Mg: 0.0000 0.2609 0.5000
Mg: 0.2609 0.0000 0.5000
Mg: 0.7391 0.7391 0.5000
Tl: 0.0000 0.0000 0.0000
Pt: 0.3333 0.6667 0.5000
Pt: 0.6667 0.3333 0.5000

Largest 12 diffraction maxima, by angle, 2θ = 10–80°:
2θ (°)	I (rel.)
24.02	39
25.28	22
27.81	18
32.17	51
35.15	100
42.26	27
42.91	21
43.03	28
49.19	16
56.10	15
61.82	23
67.35	33